This entry pairs a crystal structure of Tl4InPb4 with its simulated PXRD pattern. Radiation: copper Kα. Structure: DFT lattice parameters and positions (GGA-PBE).
Neutral-atom scattering factors, no anomalous dispersion.

Largest 12 diffraction maxima, low angle first, 10° ≤ 2θ ≤ 80°:
| 2theta | Rel. int. |
| --- | --- |
| 19.95 | 1 |
| 26.11 | 1 |
| 31.13 | 100 |
| 35.81 | 35 |
| 36.69 | 16 |
| 51.55 | 12 |
| 52.20 | 24 |
| 61.46 | 29 |
| 62.63 | 14 |
| 64.92 | 13 |
| 75.89 | 4 |
| 78.01 | 2 |

Structural model:
```
data_Tl4InPb4
_symmetry_space_group_name_H-M 'I 4/m m m'
_symmetry_Int_Tables_number 139
_symmetry_space_group_name_Hall '-I 4 2'
_cell_length_a 10.638
_cell_length_b 10.638
_cell_length_c 4.899
_cell_angle_alpha 90.00
_cell_angle_beta 90.00
_cell_angle_gamma 90.00
loop_
_atom_site_label
_atom_site_fract_x
_atom_site_fract_y
_atom_site_fract_z
_atom_site_occupancy
Tl1 0.000 0.330 0.000 1
In1 0.000 0.000 0.000 1
Pb1 0.164 0.164 0.500 1
```